1.
Pm9Sm4Al11: calculated powder XRD pattern (Cu Kα (weighted mean of Kα1 and Kα2)), based on a structure optimized by DFT (PBE).
No peak broadening, texture or thermal motion is included.

Top 6 peaks for 2θ = 5–70°, low angle first:
23.6°, rel. 60
25.6°, rel. 100
32.9°, rel. 67
34.4°, rel. 68
34.7°, rel. 69
35.1°, rel. 91

```
Pm9Sm4Al11
1.0
7.8880 -11.3019 0.0000
7.8880 11.3019 0.0000
0.0000 0.0000 3.4795
Pm Sm Al
9 4 11
direct
0.0000 0.0000 0.0000
0.1128 0.6617 0.0000
0.2961 0.4866 0.0000
0.3383 0.8872 0.0000
0.4866 0.2961 0.0000
0.5134 0.7039 0.0000
0.6617 0.1128 0.0000
0.7039 0.5134 0.0000
0.8872 0.3383 0.0000
0.0920 0.2594 0.0000
0.2594 0.0920 0.0000
0.7406 0.9080 0.0000
0.9080 0.7406 0.0000
0.0863 0.4588 0.5000
0.1214 0.8786 0.5000
0.2962 0.2962 0.5000
0.3133 0.6867 0.5000
0.4588 0.0863 0.5000
0.5000 0.5000 0.5000
0.5412 0.9137 0.5000
0.6867 0.3133 0.5000
0.7038 0.7038 0.5000
0.8786 0.1214 0.5000
0.9137 0.5412 0.5000
```

=====

2.
LiInPb2Se4: calculated powder XRD pattern (Cu Kα (weighted mean of Kα1 and Kα2)), based on a structure optimized by DFT (PBE).
No peak broadening, texture or thermal motion is included.

Top 6 peaks for 2θ = 5–70°, low angle first:
13.0°, rel. 29
30.0°, rel. 100
30.7°, rel. 46
42.8°, rel. 19
43.5°, rel. 70
53.6°, rel. 19

```
LiInPb2Se4
1.0
-4.1875 4.2272 5.8246
4.1875 -4.2272 5.8246
4.1875 4.2272 -5.8246
Li In Pb Se
2 2 4 8
direct
0.0000 0.0000 0.0000
0.5000 0.0000 0.5000
0.5000 0.0000 0.0000
0.5000 0.5000 0.5000
0.0000 0.0000 0.5000
0.0000 0.5000 0.0000
0.0000 0.5000 0.5000
0.5000 0.5000 0.0000
0.2533 0.2372 0.0161
0.2620 0.2442 0.4822
0.2620 0.7798 0.0178
0.2788 0.7628 0.5161
0.7212 0.2372 0.4839
0.7380 0.2202 0.9822
0.7380 0.7558 0.5178
0.7467 0.7628 0.9839
```

=====

3.
LiLa3Pr4Te8: calculated powder XRD pattern (Cu Kα (weighted mean of Kα1 and Kα2)), based on a structure optimized by DFT (PBE).
No peak broadening, texture or thermal motion is included.

Top 6 peaks for 2θ = 5–70°, low angle first:
27.8°, rel. 100
39.7°, rel. 38
39.8°, rel. 38
49.3°, rel. 20
65.0°, rel. 18
65.1°, rel. 17

```
LiLa3Pr4Te8
1.0
4.5282 2.6144 7.4255
-4.5282 2.6144 7.4255
0.0000 -5.2287 7.4255
Li La Pr Te
1 3 4 8
direct
0.0000 0.0000 0.0000
0.0000 0.5000 0.5000
0.5000 0.0000 0.5000
0.5000 0.5000 0.0000
0.0000 0.0000 0.5000
0.0000 0.5000 0.0000
0.5000 0.0000 0.0000
0.5000 0.5000 0.5000
0.2417 0.7568 0.7568
0.2432 0.2432 0.7583
0.2432 0.7583 0.2432
0.2493 0.2493 0.2493
0.7507 0.7507 0.7507
0.7568 0.2417 0.7568
0.7568 0.7568 0.2417
0.7583 0.2432 0.2432
```

=====

4.
Ac2PrSmTm: calculated powder XRD pattern (Cu Kα (weighted mean of Kα1 and Kα2)), based on a structure optimized by DFT (PBE).
No peak broadening, texture or thermal motion is included.

Top 6 peaks for 2θ = 5–70°, low angle first:
27.5°, rel. 24
27.6°, rel. 100
28.1°, rel. 29
35.9°, rel. 22
38.3°, rel. 23
48.7°, rel. 22

```
Ac2PrSmTm
1.0
6.4908 0.0000 0.0000
0.0000 8.8798 0.0000
0.0000 0.0000 6.8071
Ac Pr Sm Tm
4 2 2 2
direct
0.2500 0.2060 0.2136
0.2500 0.7940 0.2136
0.7500 0.2060 0.7864
0.7500 0.7940 0.7864
0.2500 0.5000 0.9148
0.7500 0.5000 0.0852
0.2500 0.0000 0.6859
0.7500 0.0000 0.3141
0.0000 0.5000 0.5000
0.5000 0.5000 0.5000
```

=====

5.
TbPm5Th: calculated powder XRD pattern (Cu Kα (weighted mean of Kα1 and Kα2)), based on a structure optimized by DFT (PBE).
No peak broadening, texture or thermal motion is included.

Top 6 peaks for 2θ = 5–70°, low angle first:
30.2°, rel. 45
30.8°, rel. 35
31.5°, rel. 100
31.8°, rel. 35
34.0°, rel. 25
35.6°, rel. 23

```
TbPm5Th
1.0
3.1043 -8.8848 0.0000
3.1043 8.8848 0.0000
-1.7888 0.0000 8.6962
Tb Pm Th
2 10 2
direct
0.0114 0.9886 0.7500
0.9886 0.0114 0.2500
0.0386 0.7337 0.0363
0.1177 0.4855 0.3549
0.2663 0.9614 0.4637
0.3532 0.6468 0.7500
0.4855 0.1177 0.8549
0.5145 0.8823 0.1451
0.6468 0.3532 0.2500
0.7337 0.0386 0.5363
0.8823 0.5145 0.6451
0.9614 0.2663 0.9637
0.5000 0.5000 0.0000
0.5000 0.5000 0.5000
```

=====

6.
TiNb2AgCl: calculated powder XRD pattern (Cu Kα (weighted mean of Kα1 and Kα2)), based on a structure optimized by DFT (PBE).
No peak broadening, texture or thermal motion is included.

Top 6 peaks for 2θ = 5–70°, low angle first:
18.7°, rel. 33
31.9°, rel. 100
35.0°, rel. 34
37.9°, rel. 54
52.6°, rel. 40
64.8°, rel. 24

```
TiNb2AgCl
1.0
4.7423 0.0000 0.0000
0.0000 4.7423 0.0000
0.0000 0.0000 5.1285
Ti Nb Ag Cl
1 2 1 1
direct
0.0000 0.0000 0.0000
0.0000 0.5000 0.0000
0.5000 0.0000 0.0000
0.0000 0.0000 0.5000
0.5000 0.5000 0.5000
```

=====

7.
Rb2ZnPH: calculated powder XRD pattern (Cu Kα (weighted mean of Kα1 and Kα2)), based on a structure optimized by DFT (PBE).
No peak broadening, texture or thermal motion is included.

Top 6 peaks for 2θ = 5–70°, low angle first:
25.4°, rel. 37
26.7°, rel. 100
28.9°, rel. 75
35.9°, rel. 29
44.0°, rel. 26
52.2°, rel. 30

```
Rb2ZnPH
1.0
7.1824 0.0000 0.0000
0.0000 4.1158 0.0000
-3.4656 0.0000 9.3955
Rb Zn P H
4 2 2 2
direct
0.1889 0.2500 0.4076
0.2229 0.2500 0.9503
0.7771 0.7500 0.0497
0.8111 0.7500 0.5924
0.4677 0.7500 0.2467
0.5323 0.2500 0.7533
0.3641 0.7500 0.7155
0.6359 0.2500 0.2845
0.2110 0.7500 0.1778
0.7890 0.2500 0.8222
```

=====

8.
TmCu5Si: calculated powder XRD pattern (Cu Kα (weighted mean of Kα1 and Kα2)), based on a structure optimized by DFT (PBE).
No peak broadening, texture or thermal motion is included.

Top 6 peaks for 2θ = 5–70°, low angle first:
22.9°, rel. 17
37.6°, rel. 32
39.7°, rel. 100
40.6°, rel. 20
46.6°, rel. 20
67.5°, rel. 22

```
TmCu5Si
1.0
7.9256 0.0000 0.0000
0.0000 4.9572 0.0000
0.0000 0.0000 10.0404
Tm Cu Si
4 20 4
direct
0.2463 0.2500 0.0629
0.2537 0.7500 0.5629
0.7463 0.2500 0.4371
0.7537 0.7500 0.9371
0.0648 0.0076 0.3030
0.0648 0.4924 0.3030
0.0681 0.7500 0.0807
0.0953 0.2500 0.5165
0.1813 0.2500 0.7592
0.3187 0.7500 0.2592
0.4047 0.7500 0.0165
0.4319 0.2500 0.5807
0.4352 0.5076 0.8030
0.4352 0.9924 0.8030
0.5648 0.0076 0.1970
0.5648 0.4924 0.1970
0.5681 0.7500 0.4193
0.5953 0.2500 0.9835
0.6813 0.2500 0.7408
0.8187 0.7500 0.2408
0.9047 0.7500 0.4835
0.9319 0.2500 0.9193
0.9352 0.5076 0.6970
0.9352 0.9924 0.6970
0.1506 0.7500 0.8536
0.3494 0.2500 0.3536
0.6506 0.7500 0.6464
0.8494 0.2500 0.1464
```

=====

9.
ThCuPbS4: calculated powder XRD pattern (Cu Kα (weighted mean of Kα1 and Kα2)), based on a structure optimized by DFT (PBE).
No peak broadening, texture or thermal motion is included.

Top 6 peaks for 2θ = 5–70°, low angle first:
20.6°, rel. 78
27.2°, rel. 100
29.6°, rel. 34
31.4°, rel. 37
33.4°, rel. 35
42.0°, rel. 31

```
ThCuPbS4
1.0
6.8736 0.0000 0.0000
0.0000 5.7014 0.0000
-2.5250 0.0000 8.0252
Th Cu Pb S
2 2 2 8
direct
0.2397 0.2500 0.4417
0.7603 0.7500 0.5583
0.2613 0.7500 0.6814
0.7387 0.2500 0.3186
0.2110 0.2500 0.9468
0.7890 0.7500 0.0532
0.0688 0.7500 0.8671
0.0754 0.7500 0.4049
0.4808 0.5123 0.2720
0.4808 0.9877 0.2720
0.5192 0.0123 0.7280
0.5192 0.4877 0.7280
0.9246 0.2500 0.5951
0.9312 0.2500 0.1329
```

=====

10.
Li2Ga3Au4: calculated powder XRD pattern (Cu Kα (weighted mean of Kα1 and Kα2)), based on a structure optimized by DFT (PBE).
No peak broadening, texture or thermal motion is included.

Top 6 peaks for 2θ = 5–70°, low angle first:
20.3°, rel. 72
25.7°, rel. 57
25.9°, rel. 60
39.5°, rel. 100
42.4°, rel. 70
46.5°, rel. 57

```
Li2Ga3Au4
1.0
2.9244 -7.8825 0.0000
2.9244 7.8825 0.0000
0.0000 0.0000 7.2834
Li Ga Au
4 6 8
direct
0.0874 0.9126 0.8903
0.4126 0.5874 0.3903
0.5874 0.4126 0.6097
0.9126 0.0874 0.1097
0.0000 0.0000 0.5000
0.0088 0.4912 0.7500
0.4912 0.0088 0.2500
0.5000 0.5000 0.0000
0.5088 0.9912 0.7500
0.9912 0.5088 0.2500
0.1691 0.8309 0.5322
0.1815 0.3185 0.7500
0.3185 0.1815 0.2500
0.3309 0.6691 0.0322
0.6691 0.3309 0.9678
0.6815 0.8185 0.7500
0.8185 0.6815 0.2500
0.8309 0.1691 0.4678
```

=====

11.
Na2ScUTe4: calculated powder XRD pattern (Cu Kα (weighted mean of Kα1 and Kα2)), based on a structure optimized by DFT (PBE).
No peak broadening, texture or thermal motion is included.

Top 6 peaks for 2θ = 5–70°, low angle first:
11.7°, rel. 33
28.5°, rel. 100
39.7°, rel. 38
41.7°, rel. 36
51.3°, rel. 19
68.1°, rel. 16

```
Na2ScUTe4
1.0
7.5030 0.0000 0.0000
0.0000 4.3340 0.0000
-2.4998 0.0000 7.5935
Na Sc U Te
2 1 1 4
direct
0.0000 0.0000 0.0000
0.5000 0.5000 0.0000
0.0000 0.5000 0.5000
0.5000 0.0000 0.5000
0.2301 0.0000 0.7247
0.2438 0.5000 0.2672
0.7562 0.5000 0.7328
0.7699 0.0000 0.2753
```

=====

12.
BaSmEuBiO6: calculated powder XRD pattern (Cu Kα (weighted mean of Kα1 and Kα2)), based on a structure optimized by DFT (PBE).
No peak broadening, texture or thermal motion is included.

Top 6 peaks for 2θ = 5–70°, low angle first:
28.7°, rel. 47
29.0°, rel. 100
29.1°, rel. 100
29.4°, rel. 47
41.5°, rel. 48
51.1°, rel. 26

```
BaSmEuBiO6
1.0
6.0766 0.0000 0.0000
0.0186 6.2219 0.0000
0.0344 0.0123 8.6883
Ba Sm Eu Bi O
2 2 2 2 12
direct
0.0080 0.0391 0.2486
0.9920 0.9609 0.7514
0.0000 0.5000 0.0000
0.5000 0.0000 0.5000
0.4841 0.5468 0.2476
0.5159 0.4532 0.7524
0.0000 0.5000 0.5000
0.5000 0.0000 0.0000
0.1194 0.5142 0.7395
0.2062 0.7753 0.4500
0.2121 0.7954 0.0422
0.2877 0.3053 0.4361
0.3146 0.3010 0.0608
0.4204 0.0640 0.7556
0.5796 0.9360 0.2444
0.6854 0.6990 0.9392
0.7123 0.6947 0.5639
0.7879 0.2046 0.9578
0.7938 0.2247 0.5500
0.8806 0.4858 0.2605
```